Entry 1:
Diffraction record for NaCd2BO4. The powder X-ray diffraction pattern is calculated, not measured: it uses a structure optimized by DFT (PBE) and Cu Kα X-rays.
Kinematic intensities with the Lorentz-polarization factor, no thermal factor.

Main lines, low angle first (2θ = 15–90°):
2θ (°), Rel. int.
15.05, 69
16.85, 42
26.64, 30
30.36, 65
32.98, 100
34.08, 42
41.69, 27
45.22, 21
54.90, 35
57.08, 25

Structural model:
```
NaCd2BO4
1.0
-3.485 4.335 4.012
3.485 -4.335 4.012
3.485 4.335 -4.012
Na Cd B O
2 4 2 8
direct
0.000 0.000 0.000
0.500 0.000 0.500
0.000 0.500 0.500
0.500 0.000 0.000
0.500 0.500 0.000
0.500 0.500 0.500
0.000 0.000 0.500
0.000 0.500 0.000
0.158 0.148 0.489
0.158 0.669 0.011
0.320 0.739 0.581
0.343 0.261 0.081
0.657 0.739 0.919
0.680 0.261 0.419
0.842 0.331 0.989
0.842 0.852 0.511
```



Entry 2:
Diffraction record for Nb2CdB. The powder X-ray diffraction pattern is calculated, not measured: it uses a structure optimized by DFT (PBE) and Cu Kα X-rays.
Kinematic intensities with the Lorentz-polarization factor, no thermal factor.

Main lines, low angle first (2θ = 15–90°):
2θ (°), Rel. int.
33.16, 93
36.66, 81
37.47, 100
42.42, 38
52.82, 21
53.43, 49
69.97, 22
71.01, 18
74.13, 23
75.90, 17

Structural model:
```
Nb2CdB
1.0
-3.466 3.466 2.752
3.466 -3.466 2.752
3.466 3.466 -2.752
Nb Cd B
4 2 2
direct
0.069 0.125 0.444
0.375 0.931 0.056
0.681 0.625 0.556
0.875 0.319 0.944
0.250 0.750 0.500
0.500 0.500 0.000
0.000 0.000 0.000
0.750 0.250 0.500
```



Entry 3:
Diffraction record for Cd3Ni7B2. The powder X-ray diffraction pattern is calculated, not measured: it uses a structure optimized by DFT (PBE) and Cu Kα X-rays.
Kinematic intensities with the Lorentz-polarization factor, no thermal factor.

Main lines, low angle first (2θ = 15–90°):
2θ (°), Rel. int.
35.66, 31
36.92, 26
37.13, 51
40.89, 43
41.05, 21
41.70, 100
42.50, 30
44.63, 39
44.87, 77
75.53, 24

Structural model:
```
Cd3Ni7B2
1.0
4.365 -2.511 0.000
4.365 2.511 0.000
-2.956 0.000 6.814
Cd Ni B
3 7 2
direct
0.000 0.000 0.000
0.145 0.145 0.435
0.855 0.855 0.565
0.070 0.566 0.200
0.433 0.433 0.797
0.434 0.930 0.800
0.500 0.500 0.500
0.566 0.070 0.200
0.567 0.567 0.203
0.930 0.434 0.800
0.335 0.335 0.999
0.665 0.665 0.001
```



Entry 4:
Diffraction record for Cd2BO4. The powder X-ray diffraction pattern is calculated, not measured: it uses a structure optimized by DFT (PBE) and Cu Kα X-rays.
Kinematic intensities with the Lorentz-polarization factor, no thermal factor.

Main lines, low angle first (2θ = 15–90°):
2θ (°), Rel. int.
17.74, 39
27.49, 50
30.98, 53
32.91, 97
35.92, 100
45.82, 25
49.50, 25
53.00, 32
55.10, 45
56.33, 26

Structural model:
```
Cd2BO4
1.0
0.000 7.072 7.072
7.072 0.000 7.072
7.072 7.072 0.000
Cd B O
16 8 32
direct
0.000 0.000 0.000
0.000 0.000 0.500
0.000 0.500 0.000
0.170 0.170 0.580
0.170 0.580 0.170
0.170 0.580 0.580
0.420 0.420 0.830
0.420 0.830 0.420
0.420 0.830 0.830
0.500 0.000 0.000
0.580 0.170 0.170
0.580 0.170 0.580
0.580 0.580 0.170
0.830 0.420 0.420
0.830 0.420 0.830
0.830 0.830 0.420
0.183 0.772 0.772
0.228 0.228 0.228
0.228 0.228 0.817
0.228 0.817 0.228
0.772 0.183 0.772
0.772 0.772 0.183
0.772 0.772 0.772
0.817 0.228 0.228
0.093 0.222 0.815
0.093 0.370 0.222
0.093 0.469 0.469
0.093 0.815 0.370
0.185 0.630 0.907
0.185 0.778 0.630
0.185 0.907 0.778
0.222 0.093 0.370
0.222 0.370 0.815
0.222 0.815 0.093
0.370 0.093 0.815
0.370 0.222 0.093
0.370 0.815 0.222
0.469 0.093 0.469
0.469 0.469 0.093
0.469 0.469 0.469
0.531 0.531 0.531
0.531 0.531 0.907
0.531 0.907 0.531
0.630 0.185 0.778
0.630 0.778 0.907
0.630 0.907 0.185
0.778 0.185 0.907
0.778 0.630 0.185
0.778 0.907 0.630
0.815 0.093 0.222
0.815 0.222 0.370
0.815 0.370 0.093
0.907 0.185 0.630
0.907 0.531 0.531
0.907 0.630 0.778
0.907 0.778 0.185
```



Entry 5:
Diffraction record for CdB2O4. The powder X-ray diffraction pattern is calculated, not measured: it uses a structure optimized by DFT (PBE) and Cu Kα X-rays.
Kinematic intensities with the Lorentz-polarization factor, no thermal factor.

Main lines, low angle first (2θ = 15–90°):
2θ (°), Rel. int.
15.18, 33
26.44, 70
26.93, 100
30.63, 18
30.95, 14
38.10, 48
40.90, 21
46.98, 62
53.05, 25
61.77, 21

Structural model:
```
CdB2O4
1.0
5.838 3.370 4.019
-5.838 3.370 4.019
0.000 -6.741 4.019
Cd B O
6 12 24
direct
0.003 0.338 0.659
0.159 0.838 0.503
0.338 0.659 0.003
0.503 0.159 0.838
0.659 0.003 0.338
0.838 0.503 0.159
0.035 0.813 0.839
0.044 0.137 0.288
0.137 0.288 0.044
0.288 0.044 0.137
0.313 0.535 0.339
0.339 0.313 0.535
0.535 0.339 0.313
0.544 0.788 0.637
0.637 0.544 0.788
0.788 0.637 0.544
0.813 0.839 0.035
0.839 0.035 0.813
0.028 0.263 0.174
0.114 0.417 0.949
0.164 0.737 0.778
0.174 0.028 0.263
0.237 0.664 0.278
0.260 0.452 0.478
0.263 0.174 0.028
0.278 0.237 0.664
0.417 0.949 0.114
0.449 0.917 0.614
0.452 0.478 0.260
0.478 0.260 0.452
0.528 0.674 0.763
0.614 0.449 0.917
0.664 0.278 0.237
0.674 0.763 0.528
0.737 0.778 0.164
0.760 0.978 0.952
0.763 0.528 0.674
0.778 0.164 0.737
0.917 0.614 0.449
0.949 0.114 0.417
0.952 0.760 0.978
0.978 0.952 0.760
```



Entry 6:
Diffraction record for CdB2O4. The powder X-ray diffraction pattern is calculated, not measured: it uses a structure optimized by DFT (PBE) and Cu Kα X-rays.
Kinematic intensities with the Lorentz-polarization factor, no thermal factor.

Main lines, low angle first (2θ = 15–90°):
2θ (°), Rel. int.
22.89, 66
24.48, 15
32.89, 25
33.77, 100
36.84, 11
40.21, 22
46.77, 16
47.64, 33
52.88, 11
55.84, 16

Structural model:
```
CdB2O4
1.0
8.972 0.000 0.000
-4.486 7.770 0.000
0.000 0.000 7.271
Cd B O
8 16 32
direct
0.000 0.000 0.000
0.000 0.000 0.500
0.046 0.521 0.019
0.476 0.954 0.019
0.479 0.524 0.019
0.521 0.476 0.519
0.524 0.046 0.519
0.954 0.479 0.519
0.152 0.327 0.331
0.152 0.329 0.717
0.175 0.848 0.331
0.177 0.848 0.717
0.327 0.175 0.831
0.329 0.177 0.217
0.333 0.667 0.311
0.333 0.667 0.696
0.667 0.333 0.196
0.667 0.333 0.811
0.671 0.823 0.717
0.673 0.825 0.331
0.823 0.152 0.217
0.825 0.152 0.831
0.848 0.671 0.217
0.848 0.673 0.831
0.003 0.187 0.234
0.005 0.297 0.840
0.092 0.329 0.525
0.184 0.997 0.234
0.187 0.184 0.734
0.192 0.696 0.768
0.206 0.493 0.234
0.237 0.908 0.525
0.287 0.794 0.234
0.292 0.995 0.840
0.297 0.292 0.340
0.304 0.496 0.768
0.329 0.237 0.025
0.333 0.667 0.503
0.493 0.287 0.734
0.496 0.192 0.268
0.504 0.808 0.768
0.507 0.713 0.234
0.667 0.333 0.003
0.671 0.763 0.525
0.696 0.504 0.268
0.703 0.708 0.840
0.708 0.005 0.340
0.713 0.206 0.734
0.763 0.092 0.025
0.794 0.507 0.734
0.808 0.304 0.268
0.813 0.816 0.234
0.816 0.003 0.734
0.908 0.671 0.025
0.995 0.703 0.340
0.997 0.813 0.734
```